1.
NdB3H12: calculated XRD peak list (a wavelength of 1.5418 Å), based on a PBE-relaxed structure.
Peak positions follow from Bragg's law for the DFT cell and can differ from measured ones.

Cell and atoms:
Lattice parameters (Å, degrees): 7.8460 7.8460 5.5513 90.00 90.00 120.00
Element x y z (fractional)
Nd  0.3333  0.6667  0.2500
Nd  0.6667  0.3333  0.7500
B  0.0673  0.4224  0.7500
B  0.3551  0.9327  0.7500
B  0.4224  0.3551  0.2500
B  0.5776  0.6449  0.7500
B  0.6449  0.0673  0.2500
B  0.9327  0.5776  0.2500
H  0.0130  0.5438  0.7500
H  0.0691  0.7491  0.2500
H  0.1675  0.4424  0.5716
H  0.1675  0.4424  0.9284
H  0.2509  0.3200  0.2500
H  0.2748  0.8325  0.5716
H  0.2748  0.8325  0.9284
H  0.3200  0.0691  0.7500
H  0.4424  0.2748  0.0716
H  0.4424  0.2748  0.4284
H  0.4562  0.4692  0.7500
H  0.4692  0.0130  0.2500
H  0.5308  0.9870  0.7500
H  0.5438  0.5308  0.2500
H  0.5576  0.7252  0.5716
H  0.5576  0.7252  0.9284
H  0.6800  0.9309  0.2500
H  0.7252  0.1675  0.0716
H  0.7252  0.1675  0.4284
H  0.7491  0.6800  0.7500
H  0.8325  0.5576  0.0716
H  0.8325  0.5576  0.4284
H  0.9309  0.2509  0.7500
H  0.9870  0.4562  0.2500

Peak list (10 most intense, 2θ = 10–90°, low angle first)
- 2θ = 13.03°, rel. 72
- 2θ = 20.66°, rel. 100
- 2θ = 22.67°, rel. 50
- 2θ = 30.86°, rel. 46
- 2θ = 34.93°, rel. 21
- 2θ = 38.63°, rel. 54
- 2θ = 39.79°, rel. 40
- 2θ = 51.18°, rel. 30
- 2θ = 61.81°, rel. 25
- 2θ = 72.23°, rel. 17


2.
Pa2Ni12BH3: calculated XRD peak list (a wavelength of 1.5418 Å), based on a PBE-relaxed structure.
Peak positions follow from Bragg's law for the DFT cell and can differ from measured ones.

Cell and atoms:
Lattice parameters (Å, degrees): 6.6873 6.6873 6.6873 58.63 58.63 58.63
Element x y z (fractional)
Pa  0.1164  0.1164  0.1164
Pa  0.8836  0.8836  0.8836
Ni  0.1435  0.5954  0.5954
Ni  0.1852  0.1852  0.5779
Ni  0.1852  0.5779  0.1852
Ni  0.4046  0.4046  0.8565
Ni  0.4046  0.8565  0.4046
Ni  0.4221  0.8148  0.8148
Ni  0.5779  0.1852  0.1852
Ni  0.5954  0.1435  0.5954
Ni  0.5954  0.5954  0.1435
Ni  0.8148  0.4221  0.8148
Ni  0.8148  0.8148  0.4221
Ni  0.8565  0.4046  0.4046
B  0.5000  0.5000  0.5000
H  0.0000  0.5000  0.5000
H  0.5000  0.0000  0.5000
H  0.5000  0.5000  0.0000

Peak list (10 most intense, 2θ = 10–90°, low angle first)
- 2θ = 16.52°, rel. 21
- 2θ = 26.67°, rel. 18
- 2θ = 31.29°, rel. 27
- 2θ = 31.78°, rel. 24
- 2θ = 32.03°, rel. 27
- 2θ = 38.49°, rel. 100
- 2θ = 41.96°, rel. 41
- 2θ = 42.53°, rel. 36
- 2θ = 54.95°, rel. 21
- 2θ = 56.19°, rel. 29


3.
ScNi6BH: calculated XRD peak list (a wavelength of 1.5418 Å), based on a PBE-relaxed structure.
Peak positions follow from Bragg's law for the DFT cell and can differ from measured ones.

Cell and atoms:
Lattice parameters (Å, degrees): 6.6624 6.6624 6.6624 120.99 119.57 89.52
Element x y z (fractional)
Sc  0.4085  0.1585  0.2500
Sc  0.5915  0.8415  0.7500
Ni  0.0992  0.4301  0.2749
Ni  0.0992  0.8243  0.6691
Ni  0.1076  0.8576  0.2500
Ni  0.2955  0.5455  0.7500
Ni  0.3448  0.1757  0.7749
Ni  0.3448  0.5699  0.1691
Ni  0.6552  0.4301  0.8309
Ni  0.6552  0.8243  0.2251
Ni  0.7045  0.4545  0.2500
Ni  0.8924  0.1424  0.7500
Ni  0.9008  0.1757  0.3309
Ni  0.9008  0.5699  0.7251
B  0.0000  0.0000  0.5000
B  0.0000  0.5000  0.0000
H  0.0000  0.5000  0.5000
H  0.5000  0.5000  0.0000

Peak list (10 most intense, 2θ = 10–90°, low angle first)
- 2θ = 16.44°, rel. 23
- 2θ = 38.04°, rel. 39
- 2θ = 38.39°, rel. 100
- 2θ = 41.65°, rel. 50
- 2θ = 42.41°, rel. 14
- 2θ = 47.03°, rel. 24
- 2θ = 50.79°, rel. 44
- 2θ = 54.76°, rel. 19
- 2θ = 55.15°, rel. 35
- 2θ = 85.14°, rel. 14


4.
NpB2H6: calculated XRD peak list (a wavelength of 1.5418 Å), based on a PBE-relaxed structure.
Peak positions follow from Bragg's law for the DFT cell and can differ from measured ones.

Cell and atoms:
Lattice parameters (Å, degrees): 5.6162 5.6162 5.6162 118.21 106.01 104.56
Element x y z (fractional)
Np  0.2500  0.2500  0.0000
Np  0.7500  0.7500  0.0000
B  0.2083  0.7211  0.9294
B  0.2917  0.2211  0.5127
B  0.7083  0.7789  0.4873
B  0.7917  0.2789  0.0706
H  0.0082  0.5177  0.2194
H  0.1105  0.2473  0.3577
H  0.2017  0.9823  0.4905
H  0.2983  0.7888  0.7806
H  0.3895  0.7473  0.1368
H  0.4918  0.7112  0.5095
H  0.5082  0.2888  0.4905
H  0.6105  0.2527  0.8632
H  0.7017  0.2112  0.2194
H  0.7983  0.0177  0.5095
H  0.8895  0.7527  0.6423
H  0.9918  0.4823  0.7806

Peak list (10 most intense, 2θ = 10–90°, low angle first)
- 2θ = 20.24°, rel. 100
- 2θ = 25.93°, rel. 24
- 2θ = 26.37°, rel. 24
- 2θ = 33.12°, rel. 62
- 2θ = 37.32°, rel. 25
- 2θ = 40.86°, rel. 20
- 2θ = 41.15°, rel. 19
- 2θ = 43.11°, rel. 16
- 2θ = 49.28°, rel. 30
- 2θ = 50.99°, rel. 19